For Pr3ThS4, a structure optimized by DFT (PBE) gives the theoretical powder diffractogram in this record (Cu Kα (weighted mean of Kα1 and Kα2)).
Neutral-atom scattering factors, no anomalous dispersion.

Cell and atoms:
a = 7.092 Å, b = 8.158 Å, c = 7.075 Å
α = 90.00°, β = 109.37°, γ = 90.00°
Space group P2/c (No. 13)
Symmetry-distinct sites (fractional):
Pr  0.000  0.124  0.250
Pr  0.000  0.374  0.750
Pr  0.500  0.373  0.250
Th  0.500  0.123  0.750
S  0.253  0.124  0.999
S  0.253  0.373  0.503

Most intense lines, 10° ≤ 2θ ≤ 80°, sorted by position:
(2 0 0), 26.7°, rel. 41; (1 2 -1), 26.8°, rel. 41; (1 2 1), 30.9°, rel. 100; (2 0 2), 44.3°, rel. 37; (0 4 0), 44.4°, rel. 36; (3 2 1), 52.5°, rel. 17; (3 2 -3), 52.6°, rel. 24; (0 0 4), 55.1°, rel. 19



For Pr3Th5S8, a structure optimized by DFT (PBE) gives the theoretical powder diffractogram in this record (Cu Kα (weighted mean of Kα1 and Kα2)).
Neutral-atom scattering factors, no anomalous dispersion.

Cell and atoms:
a = 8.1034 Å, b = 8.1034 Å, c = 20.0002 Å
α = 90.00°, β = 90.00°, γ = 120.00°
Space group R-3m (No. 166, hexagonal axes)
Symmetry-distinct sites (fractional):
Pr  0.0000  0.5000  0.0000
Th  0.0000  0.0000  0.0000
Th  0.0000  0.0000  0.5000
Th  0.0000  0.5000  0.5000
S  0.0000  0.0000  0.2489
S  0.0010  0.5005  0.7504

Most intense lines, 10° ≤ 2θ ≤ 80°, sorted by position:
(0 0 6), 26.7°, rel. 24; (2 0 2), 26.9°, rel. 70; (0 2 4), 31.1°, rel. 100; (2 0 8), 44.5°, rel. 37; (2 2 0), 44.7°, rel. 37; (2 2 6), 52.9°, rel. 24; (4 0 4), 55.5°, rel. 19; (2 2 12), 73.6°, rel. 17



For PrThS2, a structure optimized by DFT (PBE) gives the theoretical powder diffractogram in this record (Cu Kα (weighted mean of Kα1 and Kα2)).
Neutral-atom scattering factors, no anomalous dispersion.

Cell and atoms:
a = 3.9317 Å, b = 3.9317 Å, c = 21.8433 Å
α = 90.00°, β = 90.00°, γ = 120.00°
Space group R3m (No. 160, hexagonal axes)
Symmetry-distinct sites (fractional):
Pr  0.0000  0.0000  0.0000
Th  0.0000  0.0000  0.8263
S  0.0000  0.0000  0.4137
S  0.0000  0.0000  0.5795

Most intense lines, 10° ≤ 2θ ≤ 80°, sorted by position:
(0 0 6), 24.5°, rel. 42; (1 0 1), 26.5°, rel. 89; (0 1 2), 27.4°, rel. 41; (1 0 4), 31.0°, rel. 38; (0 1 5), 33.4°, rel. 100; (1 0 7), 39.2°, rel. 49; (1 1 0), 46.2°, rel. 51; (1 1 6), 52.9°, rel. 34



For Pr3ThS6, a structure optimized by DFT (PBE) gives the theoretical powder diffractogram in this record (Cu Kα (weighted mean of Kα1 and Kα2)).
Neutral-atom scattering factors, no anomalous dispersion.

Cell and atoms:
a = 11.406 Å, b = 4.076 Å, c = 11.685 Å
α = 90.00°, β = 107.44°, γ = 90.00°
Space group P2_1/m (No. 11)
Symmetry-distinct sites (fractional):
Pr  0.078  0.250  0.168
Pr  0.181  0.750  0.506
Pr  0.337  0.250  0.922
Th  0.454  0.250  0.309
S  0.022  0.250  0.386
S  0.097  0.250  0.930
S  0.256  0.750  0.282
S  0.319  0.750  0.750
S  0.392  0.250  0.538
S  0.419  0.750  0.105

Most intense lines, 10° ≤ 2θ ≤ 80°, sorted by position:
(1 0 -3), 22.9°, rel. 93; (3 0 -1), 23.4°, rel. 100; (2 0 2), 26.1°, rel. 54; (1 1 -2), 26.9°, rel. 51; (2 1 1), 29.9°, rel. 82; (3 1 0), 33.1°, rel. 58; (4 1 -3), 41.2°, rel. 54; (0 2 0), 44.5°, rel. 56



For Pr2ThS5, a structure optimized by DFT (PBE) gives the theoretical powder diffractogram in this record (Cu Kα (weighted mean of Kα1 and Kα2)).
Neutral-atom scattering factors, no anomalous dispersion.

Cell and atoms:
a = 12.149 Å, b = 8.288 Å, c = 7.616 Å
α = 90.00°, β = 90.00°, γ = 90.00°
Space group Pnma (No. 62)
Symmetry-distinct sites (fractional):
Pr  0.178  0.000  0.018
Th  0.009  0.250  0.575
S  0.001  0.250  0.957
S  0.100  0.542  0.660
S  0.186  0.250  0.328
S  0.216  0.750  0.299

Most intense lines, 10° ≤ 2θ ≤ 80°, sorted by position:
(0 0 2), 23.4°, rel. 46; (3 0 1), 24.9°, rel. 100; (1 2 1), 25.5°, rel. 84; (2 2 0), 26.0°, rel. 70; (2 2 2), 35.3°, rel. 71; (4 2 0), 36.7°, rel. 33; (6 0 0), 44.8°, rel. 61; (3 4 1), 50.9°, rel. 31



For Pr4YTh3S8, a structure optimized by DFT (PBE) gives the theoretical powder diffractogram in this record (Cu Kα (weighted mean of Kα1 and Kα2)).
Neutral-atom scattering factors, no anomalous dispersion.

Cell and atoms:
a = 8.0942 Å, b = 8.0942 Å, c = 19.9840 Å
α = 90.00°, β = 90.00°, γ = 120.00°
Space group R-3m (No. 166, hexagonal axes)
Symmetry-distinct sites (fractional):
Pr  0.0000  0.0000  0.0000
Pr  0.0000  0.5000  0.0000
Y  0.0000  0.0000  0.5000
Th  0.0000  0.5000  0.5000
S  0.0000  0.0000  0.2491
S  0.0058  0.5029  0.2471

Most intense lines, 10° ≤ 2θ ≤ 80°, sorted by position:
(0 0 6), 26.8°, rel. 21; (2 0 2), 27.0°, rel. 63; (0 2 4), 31.2°, rel. 100; (2 0 8), 44.5°, rel. 37; (2 2 0), 44.8°, rel. 36; (2 2 6), 52.9°, rel. 21; (4 0 4), 55.6°, rel. 19; (2 2 12), 73.7°, rel. 16



For PrTi4S8, a structure optimized by DFT (PBE) gives the theoretical powder diffractogram in this record (Cu Kα (weighted mean of Kα1 and Kα2)).
Neutral-atom scattering factors, no anomalous dispersion.

Cell and atoms:
a = 6.9108 Å, b = 6.9108 Å, c = 20.2835 Å
α = 90.00°, β = 90.00°, γ = 120.00°
Space group R-3m (No. 166, hexagonal axes)
Symmetry-distinct sites (fractional):
Pr  0.0000  0.0000  0.0000
Ti  0.0000  0.0000  0.5000
Ti  0.0000  0.5000  0.5000
S  0.0000  0.0000  0.2355
S  0.0075  0.5038  0.2382

Most intense lines, 10° ≤ 2θ ≤ 80°, sorted by position:
(0 0 3), 13.1°, rel. 18; (1 0 1), 15.4°, rel. 40; (0 1 2), 17.2°, rel. 35; (1 0 4), 23.0°, rel. 17; (1 1 3), 29.0°, rel. 18; (0 2 4), 34.8°, rel. 100; (2 0 8), 47.0°, rel. 35; (2 2 0), 53.0°, rel. 28



For Pr2TlS4, a structure optimized by DFT (PBE) gives the theoretical powder diffractogram in this record (Cu Kα (weighted mean of Kα1 and Kα2)).
Neutral-atom scattering factors, no anomalous dispersion.

Cell and atoms:
a = 7.720 Å, b = 7.434 Å, c = 7.729 Å
α = 90.00°, β = 102.93°, γ = 90.00°
Space group P2_1/m (No. 11)
Symmetry-distinct sites (fractional):
Pr  0.150  0.250  0.034
Pr  0.166  0.250  0.535
Tl  0.331  0.750  0.846
S  0.013  0.505  0.748
S  0.419  0.250  0.339
S  0.420  0.250  0.851

Most intense lines, 10° ≤ 2θ ≤ 80°, sorted by position:
(1 0 -1), 14.7°, rel. 39; (0 1 1), 16.8°, rel. 58; (0 2 0), 23.9°, rel. 81; (2 1 0), 26.5°, rel. 100; (1 1 -2), 26.8°, rel. 54; (2 1 -2), 32.0°, rel. 45; (1 2 2), 37.8°, rel. 36; (3 0 -2), 38.4°, rel. 38



For PrUTl2S4, a structure optimized by DFT (PBE) gives the theoretical powder diffractogram in this record (Cu Kα (weighted mean of Kα1 and Kα2)).
Neutral-atom scattering factors, no anomalous dispersion.

Cell and atoms:
a = 7.149 Å, b = 4.128 Å, c = 7.912 Å
α = 90.00°, β = 107.46°, γ = 90.00°
Space group P2/m (No. 10)
Symmetry-distinct sites (fractional):
Pr  0.000  0.000  0.000
U  0.500  0.500  0.000
Tl  0.000  0.500  0.500
Tl  0.500  0.000  0.500
S  0.245  0.500  0.203
S  0.280  0.000  0.802

Most intense lines, 10° ≤ 2θ ≤ 80°, sorted by position:
(0 0 2), 23.6°, rel. 31; (2 0 0), 26.1°, rel. 68; (1 1 1), 29.6°, rel. 100; (1 1 -3), 40.7°, rel. 39; (0 2 0), 43.9°, rel. 35; (1 1 3), 47.5°, rel. 17; (3 1 1), 50.4°, rel. 26; (2 2 -2), 53.8°, rel. 19



For Pr4TmS5, a structure optimized by DFT (PBE) gives the theoretical powder diffractogram in this record (Cu Kα (weighted mean of Kα1 and Kα2)).
Neutral-atom scattering factors, no anomalous dispersion.

Cell and atoms:
a = 4.056 Å, b = 4.056 Å, c = 28.748 Å
α = 90.00°, β = 90.00°, γ = 90.00°
Space group I4/mmm (No. 139)
Symmetry-distinct sites (fractional):
Pr  0.000  0.000  0.101
Pr  0.000  0.000  0.304
Tm  0.000  0.000  0.500
S  0.000  0.000  0.000
S  0.000  0.000  0.202
S  0.000  0.000  0.406

Most intense lines, 10° ≤ 2θ ≤ 80°, sorted by position:
(1 0 5), 26.9°, rel. 76; (1 1 0), 31.2°, rel. 100; (2 0 0), 44.7°, rel. 72; (1 0 15), 52.8°, rel. 12; (2 1 5), 52.9°, rel. 25; (2 0 10), 55.5°, rel. 25; (3 0 5), 71.7°, rel. 15; (3 1 0), 73.9°, rel. 21



For PrTm2S3, a structure optimized by DFT (PBE) gives the theoretical powder diffractogram in this record (Cu Kα (weighted mean of Kα1 and Kα2)).
Neutral-atom scattering factors, no anomalous dispersion.

Cell and atoms:
a = 3.896 Å, b = 5.584 Å, c = 11.888 Å
α = 90.00°, β = 90.00°, γ = 90.00°
Space group Immm (No. 71)
Symmetry-distinct sites (fractional):
Pr  0.000  0.000  0.000
Tm  0.000  0.000  0.340
S  0.000  0.500  0.000
S  0.000  0.500  0.319

Most intense lines, 10° ≤ 2θ ≤ 80°, sorted by position:
(0 1 3), 27.6°, rel. 63; (1 1 0), 27.9°, rel. 62; (0 2 0), 32.1°, rel. 52; (1 0 3), 32.2°, rel. 100; (1 2 3), 46.1°, rel. 73; (0 3 3), 54.5°, rel. 31; (2 1 3), 55.0°, rel. 20; (2 2 0), 57.7°, rel. 19



For Pr3US7, a structure optimized by DFT (PBE) gives the theoretical powder diffractogram in this record (Cu Kα (weighted mean of Kα1 and Kα2)).
Neutral-atom scattering factors, no anomalous dispersion.

Cell and atoms:
a = 9.227 Å, b = 13.311 Å, c = 9.609 Å
α = 90.00°, β = 90.00°, γ = 90.00°
Space group C222_1 (No. 20)
Symmetry-distinct sites (fractional):
Pr  0.002  0.000  0.000
Pr  0.227  0.276  0.750
U  0.000  0.500  0.000
S  0.000  0.128  0.250
S  0.000  0.135  0.750
S  0.000  0.423  0.750
S  0.211  0.373  0.030
S  0.212  0.373  0.470

Most intense lines, 10° ≤ 2θ ≤ 80°, sorted by position:
(0 2 2), 22.8°, rel. 99; (2 2 0), 23.5°, rel. 100; (2 0 2), 26.8°, rel. 43; (0 0 4), 37.4°, rel. 26; (2 4 2), 38.3°, rel. 81; (4 0 0), 39.0°, rel. 21; (2 2 4), 44.7°, rel. 36; (4 2 2), 45.7°, rel. 29